1.
CaFeAsF: simulated powder diffraction line list (CuKα), based on a cell relaxed with GGA+U.
Intensities are scaled so that the largest is 100.

Atomic structure:
```
CaFeAsF
1.0
3.9333 0.0000 0.0000
0.0000 3.9813 0.0000
0.0000 0.0000 9.0189
Ca Fe As F
2 2 2 2
direct
0.2500 0.2500 0.1441
0.7500 0.7500 0.8559
0.2500 0.7500 0.4919
0.7500 0.2500 0.5081
0.2500 0.2500 0.6809
0.7500 0.7500 0.3191
0.2500 0.7500 0.0005
0.7500 0.2500 0.9995
```

Top 12 peaks for 2θ from 10° to 80°, sorted by position:
- 2θ = 29.94°, rel. 56
- 2θ = 30.15°, rel. 44
- 2θ = 37.84°, rel. 100
- 2θ = 44.22°, rel. 19
- 2θ = 45.57°, rel. 29
- 2θ = 46.16°, rel. 28
- 2θ = 46.42°, rel. 17
- 2θ = 52.09°, rel. 31
- 2θ = 55.61°, rel. 14
- 2θ = 56.00°, rel. 18
- 2θ = 66.88°, rel. 17
- 2θ = 79.94°, rel. 17

2.
ZnW3O7: simulated powder diffraction line list (CuKα), based on a cell relaxed with GGA+U.
Intensities are scaled so that the largest is 100.

Atomic structure:
```
ZnW3O7
1.0
7.8962 0.0000 0.0000
0.0000 11.4336 0.0000
0.0000 0.0000 6.5638
Zn W O
4 12 28
direct
0.0074 0.2500 0.1140
0.4926 0.7500 0.6140
0.5074 0.2500 0.3860
0.9926 0.7500 0.8860
0.2372 0.5309 0.7555
0.2372 0.9691 0.7555
0.2381 0.7500 0.2527
0.2619 0.2500 0.7527
0.2628 0.0309 0.2555
0.2628 0.4691 0.2555
0.7372 0.5309 0.7445
0.7372 0.9691 0.7445
0.7381 0.7500 0.2473
0.7619 0.2500 0.7473
0.7628 0.0309 0.2445
0.7628 0.4691 0.2445
0.0087 0.0921 0.2295
0.0087 0.4079 0.2295
0.0113 0.2500 0.8144
0.2280 0.6070 0.4539
0.2280 0.8930 0.4539
0.2476 0.1093 0.5525
0.2476 0.3907 0.5525
0.2524 0.6093 0.0525
0.2524 0.8907 0.0525
0.2720 0.1070 0.9539
0.2720 0.3930 0.9539
0.4887 0.7500 0.3144
0.4913 0.5921 0.7295
0.4913 0.9079 0.7295
0.5087 0.0921 0.2705
0.5087 0.4079 0.2705
0.5113 0.2500 0.6856
0.7280 0.6070 0.0461
0.7280 0.8930 0.0461
0.7476 0.1093 0.9475
0.7476 0.3907 0.9475
0.7524 0.6093 0.4475
0.7524 0.8907 0.4475
0.7720 0.1070 0.5461
0.7720 0.3930 0.5461
0.9887 0.7500 0.1856
0.9913 0.5921 0.7705
0.9913 0.9079 0.7705
```

Top 12 peaks for 2θ from 10° to 80°, sorted by position:
- 2θ = 22.52°, rel. 81
- 2θ = 27.05°, rel. 59
- 2θ = 27.17°, rel. 60
- 2θ = 27.47°, rel. 51
- 2θ = 31.29°, rel. 30
- 2θ = 35.52°, rel. 100
- 2θ = 41.90°, rel. 34
- 2θ = 45.97°, rel. 25
- 2θ = 47.95°, rel. 26
- 2θ = 48.09°, rel. 47
- 2θ = 54.19°, rel. 32
- 2θ = 63.22°, rel. 30

3.
MgMnSbO4: simulated powder diffraction line list (CuKα), based on a cell relaxed with GGA+U.
Intensities are scaled so that the largest is 100.

Atomic structure:
```
MgMnSbO4
1.0
5.3335 0.0000 0.0000
0.0000 3.0985 0.0000
-1.8327 0.0000 5.4678
Mg Mn Sb O
1 1 1 4
direct
0.0000 0.0000 0.0000
0.5000 0.5000 0.0000
0.5000 0.0000 0.5000
0.2363 0.5000 0.2225
0.2948 0.0000 0.8076
0.7052 0.0000 0.1924
0.7637 0.5000 0.7775
```

Top 12 peaks for 2θ from 10° to 80°, sorted by position:
- 2θ = 17.54°, rel. 100
- 2θ = 19.77°, rel. 24
- 2θ = 31.88°, rel. 22
- 2θ = 32.76°, rel. 18
- 2θ = 33.23°, rel. 34
- 2θ = 35.19°, rel. 26
- 2θ = 35.50°, rel. 14
- 2θ = 40.15°, rel. 34
- 2θ = 40.30°, rel. 63
- 2θ = 45.16°, rel. 14
- 2θ = 56.37°, rel. 21
- 2θ = 59.99°, rel. 18

4.
Y2MnCrO6: simulated powder diffraction line list (CuKα), based on a cell relaxed with GGA+U.
Intensities are scaled so that the largest is 100.

Atomic structure:
```
Y2MnCrO6
1.0
5.3692 0.0000 0.0000
0.0000 5.7412 0.0000
-5.3203 0.0000 7.4871
Y Mn Cr O
4 2 2 12
direct
0.2301 0.0743 0.2492
0.2301 0.4257 0.7492
0.7699 0.5743 0.2508
0.7699 0.9257 0.7508
0.5000 0.0000 0.0000
0.5000 0.5000 0.5000
0.0000 0.0000 0.5000
0.0000 0.5000 0.0000
0.1360 0.1937 0.9461
0.1360 0.3063 0.4461
0.2429 0.6841 0.9404
0.2429 0.8159 0.4404
0.3692 0.0407 0.7547
0.3692 0.4593 0.2547
0.6308 0.5407 0.7453
0.6308 0.9593 0.2453
0.7571 0.1841 0.5596
0.7571 0.3159 0.0596
0.8640 0.6937 0.5539
0.8640 0.8063 0.0539
```

Top 12 peaks for 2θ from 10° to 80°, sorted by position:
- 2θ = 25.59°, rel. 21
- 2θ = 25.70°, rel. 21
- 2θ = 31.16°, rel. 39
- 2θ = 33.00°, rel. 100
- 2θ = 33.16°, rel. 94
- 2θ = 33.39°, rel. 68
- 2θ = 46.31°, rel. 40
- 2θ = 48.64°, rel. 29
- 2θ = 52.19°, rel. 34
- 2θ = 58.90°, rel. 16
- 2θ = 59.31°, rel. 24
- 2θ = 59.62°, rel. 24

5.
Li2VF6: simulated powder diffraction line list (CuKα), based on a cell relaxed with GGA+U.
Intensities are scaled so that the largest is 100.

Atomic structure:
```
Li2VF6
1.0
8.5977 0.0000 0.0000
4.1904 7.5549 0.0000
1.0446 0.5502 10.1893
Li V F
12 6 36
direct
0.0000 0.0000 0.0000
0.0323 0.0472 0.4458
0.1153 0.2583 0.9264
0.2027 0.5145 0.0212
0.3141 0.3241 0.4052
0.3756 0.3832 0.7430
0.4618 0.5751 0.2260
0.5328 0.8265 0.4237
0.6036 0.0345 0.9024
0.6638 0.6552 0.6902
0.7230 0.7119 0.0463
0.7854 0.9206 0.5141
0.3204 0.0444 0.6769
0.3220 0.0469 0.1765
0.6618 0.3738 0.9719
0.6717 0.3747 0.4702
0.9965 0.7141 0.2679
0.9975 0.7174 0.7619
0.0554 0.8165 0.3972
0.0716 0.7911 0.8991
0.0813 0.4992 0.3574
0.0902 0.4888 0.8614
0.1094 0.1260 0.7817
0.1142 0.1208 0.2749
0.2111 0.6201 0.6695
0.2260 0.9834 0.0458
0.2273 0.6234 0.1723
0.2483 0.9656 0.5429
0.2488 0.2659 0.0768
0.2646 0.2566 0.5846
0.3986 0.1467 0.8056
0.4143 0.1134 0.3083
0.4210 0.8173 0.2675
0.4232 0.8329 0.7711
0.4317 0.4422 0.9067
0.4391 0.4535 0.4005
0.5432 0.9595 0.0759
0.5527 0.9467 0.5785
0.5809 0.3164 0.6268
0.5807 0.3205 0.1304
0.5834 0.6005 0.0432
0.5940 0.6071 0.5346
0.7174 0.4593 0.3102
0.7221 0.4590 0.8162
0.7468 0.1389 0.9188
0.7554 0.1397 0.4196
0.7706 0.7961 0.3619
0.7752 0.7915 0.8667
0.8886 0.6543 0.6417
0.8978 0.2856 0.0219
0.8993 0.2871 0.5253
0.9079 0.9344 0.6667
0.9207 0.9207 0.1653
0.9350 0.6214 0.1297
```

Top 12 peaks for 2θ from 10° to 80°, sorted by position:
- 2θ = 20.31°, rel. 57
- 2θ = 20.47°, rel. 100
- 2θ = 20.67°, rel. 70
- 2θ = 20.77°, rel. 67
- 2θ = 22.32°, rel. 39
- 2θ = 28.19°, rel. 27
- 2θ = 30.47°, rel. 17
- 2θ = 38.70°, rel. 16
- 2θ = 39.09°, rel. 33
- 2θ = 40.66°, rel. 26
- 2θ = 40.87°, rel. 25
- 2θ = 41.20°, rel. 24

6.
FeOF: simulated powder diffraction line list (CuKα), based on a cell relaxed with GGA+U.
Intensities are scaled so that the largest is 100.

Atomic structure:
```
FeOF
1.0
4.8023 0.0000 0.0000
0.0000 3.0752 0.0000
-1.1310 0.0000 14.3279
Fe O F
6 6 6
direct
0.0000 0.0000 0.0000
0.0342 0.0000 0.6681
0.4784 0.5000 0.1662
0.5167 0.5000 0.8346
0.5732 0.5000 0.4992
0.9493 0.0000 0.3322
0.2885 0.0000 0.0983
0.3225 0.0000 0.7663
0.6775 0.0000 0.2283
0.7085 0.0000 0.8999
0.7278 0.0000 0.5694
0.8086 0.5000 0.3978
0.1787 0.5000 0.2721
0.1976 0.5000 0.9348
0.2205 0.5000 0.6017
0.3172 0.0000 0.4371
0.8031 0.5000 0.0625
0.8368 0.5000 0.7324
```

Top 12 peaks for 2θ from 10° to 80°, sorted by position:
- 2θ = 25.28°, rel. 100
- 2θ = 27.40°, rel. 88
- 2θ = 34.68°, rel. 97
- 2θ = 38.88°, rel. 17
- 2θ = 50.90°, rel. 62
- 2θ = 51.91°, rel. 16
- 2θ = 53.24°, rel. 21
- 2θ = 53.30°, rel. 25
- 2θ = 56.53°, rel. 15
- 2θ = 60.18°, rel. 17
- 2θ = 65.95°, rel. 16
- 2θ = 66.09°, rel. 22

7.
Na2TiNiO4: simulated powder diffraction line list (CuKα), based on a cell relaxed with GGA+U.
Intensities are scaled so that the largest is 100.

Atomic structure:
```
Na2TiNiO4
1.0
5.2710 0.0000 0.0000
0.0000 3.0421 0.0000
-1.7648 0.0000 5.3787
Na Ti Ni O
2 1 1 4
direct
0.0000 0.0000 0.0000
0.5000 0.5000 0.0000
0.0000 0.5000 0.5000
0.5000 0.0000 0.5000
0.2176 0.0000 0.7038
0.2466 0.5000 0.3021
0.7534 0.5000 0.6979
0.7824 0.0000 0.2962
```

Top 12 peaks for 2θ from 10° to 80°, sorted by position:
- 2θ = 16.48°, rel. 55
- 2θ = 33.32°, rel. 14
- 2θ = 34.49°, rel. 11
- 2θ = 35.85°, rel. 29
- 2θ = 40.91°, rel. 100
- 2θ = 52.76°, rel. 10
- 2θ = 57.54°, rel. 28
- 2θ = 60.89°, rel. 27
- 2θ = 63.55°, rel. 6
- 2θ = 68.14°, rel. 7
- 2θ = 71.21°, rel. 10
- 2θ = 75.98°, rel. 12

8.
MgMn2O4: simulated powder diffraction line list (CuKα), based on a cell relaxed with GGA+U.
Intensities are scaled so that the largest is 100.

Atomic structure:
```
MgMn2O4
1.0
0.0000 4.3012 4.3012
4.3012 0.0000 4.3012
4.3012 4.3012 0.0000
Mg Mn O
2 4 8
direct
0.1250 0.1250 0.1250
0.8750 0.8750 0.8750
0.0000 0.5000 0.5000
0.5000 0.0000 0.5000
0.5000 0.5000 0.0000
0.5000 0.5000 0.5000
0.2605 0.2605 0.2605
0.2605 0.2605 0.7184
0.2605 0.7184 0.2605
0.2816 0.7395 0.7395
0.7184 0.2605 0.2605
0.7395 0.2816 0.7395
0.7395 0.7395 0.2816
0.7395 0.7395 0.7395
```

Top 12 peaks for 2θ from 10° to 80°, sorted by position:
- 2θ = 17.86°, rel. 71
- 2θ = 29.37°, rel. 11
- 2θ = 34.58°, rel. 100
- 2θ = 36.17°, rel. 13
- 2θ = 42.01°, rel. 59
- 2θ = 45.99°, rel. 6
- 2θ = 55.51°, rel. 39
- 2θ = 60.92°, rel. 59
- 2θ = 64.04°, rel. 10
- 2θ = 71.98°, rel. 10
- 2θ = 72.95°, rel. 8
- 2θ = 76.76°, rel. 9

9.
LiV2Zn2Si2O10: simulated powder diffraction line list (CuKα), based on a cell relaxed with GGA+U.
Intensities are scaled so that the largest is 100.

Atomic structure:
```
LiV2Zn2Si2O10
1.0
5.3230 0.0000 0.0000
-0.6735 5.4274 0.0000
-2.0421 -2.3529 6.5563
Li V Zn Si O
1 2 2 2 10
direct
0.0000 0.0000 0.0000
0.5003 0.9986 0.0002
0.5007 0.9988 0.5002
0.2646 0.3972 0.3203
0.7369 0.6007 0.6805
0.1707 0.3746 0.7541
0.8305 0.6228 0.2461
0.1478 0.7398 0.3927
0.1696 0.6898 0.8532
0.2579 0.2282 0.9205
0.3615 0.3390 0.6068
0.3944 0.0711 0.2325
0.6067 0.9267 0.7679
0.6399 0.6587 0.3937
0.7429 0.7690 0.0796
0.8316 0.3077 0.1472
0.8534 0.2579 0.6074
```

Top 12 peaks for 2θ from 10° to 80°, sorted by position:
- 2θ = 17.81°, rel. 35
- 2θ = 18.05°, rel. 28
- 2θ = 26.90°, rel. 53
- 2θ = 27.13°, rel. 100
- 2θ = 27.65°, rel. 88
- 2θ = 35.30°, rel. 27
- 2θ = 35.77°, rel. 59
- 2θ = 37.26°, rel. 22
- 2θ = 43.83°, rel. 40
- 2θ = 50.48°, rel. 24
- 2θ = 53.13°, rel. 37
- 2θ = 53.87°, rel. 24

10.
Li6Co5O10: simulated powder diffraction line list (CuKα), based on a cell relaxed with GGA+U.
Intensities are scaled so that the largest is 100.

Atomic structure:
```
Li6Co5O10
1.0
5.4446 0.0000 0.0000
2.4368 5.8586 0.0000
1.8850 1.1939 8.0474
Li Co O
6 5 10
direct
0.0457 0.1688 0.0610
0.0457 0.7380 0.2524
0.0501 0.2959 0.4279
0.9499 0.7041 0.5721
0.9543 0.2620 0.7476
0.9543 0.8312 0.9390
0.4940 0.1087 0.7034
0.4983 0.7086 0.9056
0.5000 0.5000 0.5000
0.5017 0.2914 0.0944
0.5060 0.8913 0.2966
0.2411 0.9934 0.8597
0.2437 0.3592 0.5939
0.2546 0.5860 0.0523
0.2547 0.7610 0.4114
0.2559 0.1673 0.2221
0.7441 0.8327 0.7779
0.7453 0.2390 0.5886
0.7454 0.4140 0.9477
0.7563 0.6408 0.4061
0.7589 0.0066 0.1403
```

Top 12 peaks for 2θ from 10° to 80°, sorted by position:
- 2θ = 17.87°, rel. 50
- 2θ = 25.05°, rel. 100
- 2θ = 34.37°, rel. 9
- 2θ = 35.89°, rel. 5
- 2θ = 36.01°, rel. 5
- 2θ = 43.13°, rel. 17
- 2θ = 43.28°, rel. 16
- 2θ = 46.71°, rel. 8
- 2θ = 47.78°, rel. 9
- 2θ = 54.12°, rel. 7
- 2θ = 54.40°, rel. 7
- 2θ = 57.24°, rel. 12